1.
# FeOsO4
Calculated XRD peak list, λ = 1.5418 Å (Cu Kα). Input: a DFT-relaxed cell (PBE+U, Alexandria).
Intensities are scaled so that the largest is 100.

Top 10 peaks for 2θ = 10–80°, by angle:
| d [Å] | 2θ (°) | intensity |
| --- | --- | --- |
| 4.482 | 19.81 | 55.9 |
| 3.259 | 27.37 | 100.0 |
| 2.636 | 34.01 | 28.1 |
| 2.564 | 34.99 | 82.7 |
| 2.304 | 39.09 | 22.8 |
| 1.714 | 53.46 | 65.4 |
| 1.630 | 56.47 | 16.2 |
| 1.457 | 63.87 | 15.3 |
| 1.395 | 67.12 | 15.0 |
| 1.375 | 68.19 | 18.9 |

```
FeOsO4
1.0
-3.259 3.259 3.086
3.259 -3.259 3.086
3.259 3.259 -3.086
Fe Os O
2 2 8
direct
0.000 0.000 0.000
0.750 0.250 0.500
0.262 0.762 0.500
0.512 0.512 0.000
0.219 0.519 0.700
0.269 0.069 0.800
0.269 0.469 0.200
0.301 0.999 0.302
0.697 0.999 0.698
0.749 0.551 0.802
0.749 0.947 0.198
0.819 0.519 0.300
```

2.
# FeOsO4
Calculated XRD peak list, λ = 1.5418 Å (Cu Kα). Input: a DFT-relaxed cell (PBE+U, Alexandria).
Intensities are scaled so that the largest is 100.

Top 10 peaks for 2θ = 10–80°, by angle:
| d [Å] | 2θ (°) | intensity |
| --- | --- | --- |
| 5.133 | 17.27 | 37.8 |
| 3.429 | 25.98 | 29.1 |
| 3.262 | 27.34 | 100.0 |
| 2.565 | 34.98 | 82.4 |
| 2.307 | 39.05 | 22.9 |
| 1.715 | 53.42 | 65.6 |
| 1.631 | 56.41 | 16.1 |
| 1.459 | 63.79 | 15.2 |
| 1.395 | 67.10 | 15.2 |
| 1.376 | 68.12 | 19.0 |

```
FeOsO4
1.0
5.554 0.000 0.000
0.000 4.612 0.000
-2.120 0.000 5.128
Fe Os O
2 2 8
direct
0.000 0.000 0.000
0.000 0.500 0.500
0.500 0.000 0.500
0.500 0.500 0.000
0.163 0.194 0.357
0.163 0.306 0.857
0.356 0.708 0.661
0.356 0.792 0.161
0.644 0.208 0.839
0.644 0.292 0.339
0.837 0.694 0.143
0.837 0.806 0.643
```